Starting from a crystal structure in the Materials Project, relaxed with PBE, the powder diffractogram of Pb5SO8 was calculated for CuKα.
Kinematic intensities with the Lorentz-polarization factor, no thermal factor.

Atomic structure:
```
Pb5SO8
1.0
7.4850 0.0000 0.0000
0.0000 12.0059 0.0000
-0.1957 0.0000 11.9138
Pb S O
20 4 32
direct
0.1083 0.2414 0.3879
0.1083 0.2586 0.8879
0.1232 0.5896 0.8930
0.1232 0.9104 0.3930
0.1387 0.5834 0.3713
0.1387 0.9166 0.8712
0.3673 0.7414 0.6118
0.3673 0.7586 0.1118
0.3756 0.0606 0.6140
0.3756 0.4394 0.1140
0.6244 0.5606 0.8860
0.6244 0.9394 0.3860
0.6327 0.2414 0.8882
0.6327 0.2586 0.3882
0.8613 0.0834 0.1288
0.8613 0.4166 0.6288
0.8768 0.0896 0.6070
0.8768 0.4104 0.1070
0.8917 0.7414 0.1121
0.8917 0.7586 0.6121
0.3562 0.1049 0.1532
0.3562 0.3951 0.6532
0.6438 0.6049 0.3468
0.6438 0.8951 0.8468
0.1272 0.7273 0.4889
0.1272 0.7727 0.9889
0.1329 0.0838 0.4918
0.1329 0.4162 0.9918
0.1374 0.6760 0.2083
0.1374 0.8240 0.7083
0.2383 0.2027 0.1280
0.2383 0.2973 0.6280
0.2764 0.0027 0.1031
0.2764 0.4973 0.6031
0.3742 0.0914 0.2786
0.3742 0.4086 0.7786
0.3909 0.5990 0.0021
0.3909 0.9010 0.5021
0.4620 0.6286 0.3937
0.4620 0.8714 0.8937
0.5380 0.1286 0.1063
0.5380 0.3714 0.6063
0.6091 0.0990 0.4979
0.6091 0.4010 0.9979
0.6258 0.5914 0.2214
0.6258 0.9086 0.7214
0.7236 0.5027 0.3969
0.7236 0.9973 0.8969
0.7617 0.7027 0.3720
0.7617 0.7973 0.8720
0.8626 0.1760 0.2917
0.8626 0.3240 0.7917
0.8671 0.5838 0.0082
0.8671 0.9162 0.5082
0.8728 0.2273 0.0111
0.8728 0.2727 0.5111
```

Top 10 peaks for 5 to 70 degrees two-theta, by angle:
| h k l | 2θ/deg | d [Å] | I_rel |
| --- | --- | --- | --- |
| 0 1 1 | 10.5 | 8.457 | 16 |
| 0 3 2 | 26.8 | 3.322 | 100 |
| 2 0 -2 | 27.9 | 3.192 | 44 |
| 2 0 2 | 28.4 | 3.145 | 45 |
| 0 0 4 | 30.0 | 2.978 | 35 |
| 2 3 0 | 32.8 | 2.733 | 56 |
| 2 3 -4 | 44.7 | 2.026 | 24 |
| 2 3 4 | 45.3 | 2.002 | 36 |
| 0 3 6 | 51.4 | 1.779 | 15 |
| 4 3 2 | 56.7 | 1.624 | 13 |